This entry pairs a crystal structure of HfZrCrO6 with its theoretical powder XRD pattern. Radiation: λ = 1.5418 Å (Cu Kα). Structure: a cell relaxed with PBE+U.
Kinematic intensities with the Lorentz-polarization factor, no thermal factor.

Principal peaks in the range 10° ≤ 2θ ≤ 90°, by angle:
- 19.23°, I = 20, (0 0 2)
- 22.08°, I = 39, (1 0 1)
- 27.78°, I = 100, (1 0 2)
- 34.74°, I = 47, (1 1 0)
- 40.01°, I = 21, (1 1 2)
- 45.05°, I = 26, (2 0 2)
- 53.24°, I = 49, (1 1 4)
- 58.11°, I = 24, (2 1 2)

Cell and atoms:
Lattice parameters (Å, degrees): 5.1648 5.1648 9.2293 90.00 90.00 120.00
Space group P-31c (No. 163)
Unique sites:
Hf1 0.3333 0.6667 0.2500
Zr1 0.0000 0.0000 0.0000
Cr1 0.3333 0.6667 0.7500
O1 0.0193 0.3510 0.6326